[1]
The following is a simulated X-ray powder pattern of Tl2IrAu. It was derived from a GGA-PBE-relaxed structure, using CuKα.
Kinematic intensities with the Lorentz-polarization factor, no thermal factor.

Atomic structure:
Unit cell a=6.0732 b=7.7947 c=3.4523 alpha=90.00 beta=91.76 gamma=90.00
Element x y z (fractional)
Tl1 0.2500 0.2500 0.0000
Tl2 0.2500 0.7500 0.0000
Tl3 0.7500 0.2500 0.0000
Tl4 0.7500 0.7500 0.0000
Ir1 0.0000 0.0000 0.5000
Ir2 0.5000 0.5000 0.5000
Au1 0.0000 0.5000 0.5000
Au2 0.5000 0.0000 0.5000

Peak list (10 most intense, 2θ = 10–90°, by angle)
two_theta  Rel. int.
34.72  100
37.56  81
38.91  37
40.16  34
46.61  22
53.08  15
62.28  19
63.18  18
65.96  16
67.70  15


[2]
The following is a simulated X-ray powder pattern of Tm6IrAu3. It was derived from a GGA-PBE-relaxed structure, using CuKα.
Kinematic intensities with the Lorentz-polarization factor, no thermal factor.

Atomic structure:
Unit cell a=6.7066 b=7.7057 c=12.1235 alpha=90.00 beta=122.97 gamma=90.00
Element x y z (fractional)
Tm1 0.0799 0.0490 0.2425
Tm2 0.0799 0.4510 0.7425
Tm3 0.2195 0.6894 0.0699
Tm4 0.2195 0.8106 0.5699
Tm5 0.4096 0.1654 0.0731
Tm6 0.4096 0.3346 0.5731
Tm7 0.5904 0.6654 0.4269
Tm8 0.5904 0.8346 0.9269
Tm9 0.7805 0.1894 0.4301
Tm10 0.7805 0.3106 0.9301
Tm11 0.9201 0.5490 0.2575
Tm12 0.9201 0.9510 0.7575
Ir1 0.0000 0.0000 0.0000
Ir2 0.0000 0.5000 0.5000
Au1 0.3029 0.1155 0.7440
Au2 0.3029 0.3845 0.2440
Au3 0.5000 0.0000 0.5000
Au4 0.5000 0.5000 0.0000
Au5 0.6971 0.6155 0.7560
Au6 0.6971 0.8845 0.2560

Peak list (10 most intense, 2θ = 10–90°, by angle)
two_theta  Rel. int.
28.13  50
29.39  46
30.46  67
31.65  56
31.89  50
32.14  50
35.28  100
37.49  98
45.70  57
46.06  48


[3]
The following is a simulated X-ray powder pattern of Tm7Ir2Au2. It was derived from a GGA-PBE-relaxed structure, using CuKα.
Kinematic intensities with the Lorentz-polarization factor, no thermal factor.

Atomic structure:
Unit cell a=9.1662 b=9.1662 c=9.1662 alpha=155.92 beta=66.02 gamma=119.57
Element x y z (fractional)
Tm1 0.0000 0.0000 0.0000
Tm2 0.3000 0.4189 0.8811
Tm3 0.3055 0.6197 0.6858
Tm4 0.5378 0.4189 0.1189
Tm5 0.6136 0.2571 0.3566
Tm6 0.9005 0.2571 0.6434
Tm7 0.9339 0.6197 0.3142
Ir1 0.1636 0.9179 0.2457
Ir2 0.6722 0.9179 0.7543
Au1 0.2462 0.7462 0.5000
Au2 0.6770 0.6770 0.0000

Peak list (10 most intense, 2θ = 10–90°, by angle)
two_theta  Rel. int.
30.65  16
30.93  32
34.00  38
34.49  100
35.16  27
37.53  17
39.38  38
40.26  20
47.56  25
59.74  15


[4]
The following is a simulated X-ray powder pattern of Tm7Ir2Au2. It was derived from a GGA-PBE-relaxed structure, using CuKα.
Kinematic intensities with the Lorentz-polarization factor, no thermal factor.

Atomic structure:
Unit cell a=6.6099 b=6.6099 c=6.9279 alpha=90.00 beta=90.00 gamma=104.45
Element x y z (fractional)
Tm1 0.0000 0.0000 0.0000
Tm2 0.0000 0.5000 0.2549
Tm3 0.0000 0.5000 0.7451
Tm4 0.5000 0.0000 0.2549
Tm5 0.5000 0.0000 0.7451
Tm6 0.5000 0.5000 0.2487
Tm7 0.5000 0.5000 0.7513
Ir1 0.2835 0.7165 0.0000
Ir2 0.7165 0.2835 0.0000
Au1 0.2069 0.2069 0.5000
Au2 0.7931 0.7931 0.5000

Peak list (10 most intense, 2θ = 10–90°, by angle)
two_theta  Rel. int.
21.30  22
25.48  39
29.32  19
34.33  43
38.29  100
43.23  15
44.77  18
52.87  15
57.60  16
64.11  18


[5]
The following is a simulated X-ray powder pattern of Tm8Ir3Au2. It was derived from a GGA-PBE-relaxed structure, using CuKα.
Kinematic intensities with the Lorentz-polarization factor, no thermal factor.

Atomic structure:
Unit cell a=8.4252 b=4.8100 c=8.4396 alpha=90.00 beta=109.88 gamma=90.00
Element x y z (fractional)
Tm1 0.1170 0.0000 0.3831
Tm2 0.1337 0.5000 0.8707
Tm3 0.3710 0.5000 0.6335
Tm4 0.3800 0.0000 0.1199
Tm5 0.6200 0.0000 0.8801
Tm6 0.6290 0.5000 0.3665
Tm7 0.8663 0.5000 0.1293
Tm8 0.8830 0.0000 0.6169
Ir1 0.2487 0.0000 0.7483
Ir2 0.5000 0.5000 0.0000
Ir3 0.7513 0.0000 0.2517
Au1 0.2442 0.5000 0.2558
Au2 0.7558 0.5000 0.7442

Peak list (10 most intense, 2θ = 10–90°, by angle)
two_theta  Rel. int.
22.42  12
22.53  12
37.04  100
37.12  25
37.39  25
53.07  8
53.71  18
66.71  9
66.87  18
67.22  18


[6]
The following is a simulated X-ray powder pattern of YTmIrAu. It was derived from a GGA-PBE-relaxed structure, using CuKα.
Kinematic intensities with the Lorentz-polarization factor, no thermal factor.

Atomic structure:
Unit cell a=6.9866 b=6.9866 c=6.9866 alpha=90.00 beta=90.00 gamma=90.00
Element x y z (fractional)
Y1 0.0000 0.0000 0.0000
Y2 0.0000 0.5000 0.5000
Y3 0.5000 0.0000 0.5000
Y4 0.5000 0.5000 0.0000
Tm1 0.0000 0.0000 0.5000
Tm2 0.0000 0.5000 0.0000
Tm3 0.5000 0.0000 0.0000
Tm4 0.5000 0.5000 0.5000
Ir1 0.2500 0.2500 0.7500
Ir2 0.2500 0.7500 0.2500
Ir3 0.7500 0.2500 0.2500
Ir4 0.7500 0.7500 0.7500
Au1 0.2500 0.2500 0.2500
Au2 0.2500 0.7500 0.7500
Au3 0.7500 0.2500 0.7500
Au4 0.7500 0.7500 0.2500

Peak list (10 most intense, 2θ = 10–90°, by angle)
two_theta  Rel. int.
22.04  3
25.50  5
36.37  100
42.93  2
44.95  2
52.38  18
59.14  2
65.44  36
77.25  11
88.51  17


[7]
The following is a simulated X-ray powder pattern of IrWAu2. It was derived from a GGA-PBE-relaxed structure, using CuKα.
Kinematic intensities with the Lorentz-polarization factor, no thermal factor.

Atomic structure:
Unit cell a=2.8508 b=3.9693 c=5.8493 alpha=90.00 beta=90.09 gamma=90.00
Element x y z (fractional)
Ir1 0.0000 0.0000 0.0000
W1 0.5015 0.5000 0.1958
Au1 0.0025 0.0000 0.4680
Au2 0.5028 0.5000 0.7221

Peak list (10 most intense, 2θ = 10–90°, by angle)
two_theta  Rel. int.
38.22  99
38.90  100
44.38  65
45.71  32
65.55  32
65.63  21
78.38  13
78.48  13
79.51  12
79.94  13


[8]
The following is a simulated X-ray powder pattern of YIrAu2. It was derived from a GGA-PBE-relaxed structure, using CuKα.
Kinematic intensities with the Lorentz-polarization factor, no thermal factor.

Atomic structure:
Unit cell a=4.2234 b=4.2234 c=8.4590 alpha=90.00 beta=90.00 gamma=90.00
Element x y z (fractional)
Y1 0.0000 0.0000 0.0000
Y2 0.5000 0.5000 0.5000
Ir1 0.0000 0.5000 0.7500
Ir2 0.5000 0.0000 0.2500
Au1 0.0000 0.0000 0.5000
Au2 0.0000 0.5000 0.2500
Au3 0.5000 0.0000 0.7500
Au4 0.5000 0.5000 0.0000

Peak list (10 most intense, 2θ = 10–90°, by angle)
two_theta  Rel. int.
21.00  2
23.54  7
36.84  100
38.39  2
42.80  50
49.44  2
58.83  2
62.13  33
74.47  39
78.40  11


- What is the formula in the second record?
  Tm6IrAu3


What did the second record say?
The following is a simulated X-ray powder pattern of Tm6IrAu3. It was derived from a GGA-PBE-relaxed structure, using CuKα.
Kinematic intensities with the Lorentz-polarization factor, no thermal factor.

Atomic structure:
Unit cell a=6.7066 b=7.7057 c=12.1235 alpha=90.00 beta=122.97 gamma=90.00
Element x y z (fractional)
Tm1 0.0799 0.0490 0.2425
Tm2 0.0799 0.4510 0.7425
Tm3 0.2195 0.6894 0.0699
Tm4 0.2195 0.8106 0.5699
Tm5 0.4096 0.1654 0.0731
Tm6 0.4096 0.3346 0.5731
Tm7 0.5904 0.6654 0.4269
Tm8 0.5904 0.8346 0.9269
Tm9 0.7805 0.1894 0.4301
Tm10 0.7805 0.3106 0.9301
Tm11 0.9201 0.5490 0.2575
Tm12 0.9201 0.9510 0.7575
Ir1 0.0000 0.0000 0.0000
Ir2 0.0000 0.5000 0.5000
Au1 0.3029 0.1155 0.7440
Au2 0.3029 0.3845 0.2440
Au3 0.5000 0.0000 0.5000
Au4 0.5000 0.5000 0.0000
Au5 0.6971 0.6155 0.7560
Au6 0.6971 0.8845 0.2560

Peak list (10 most intense, 2θ = 10–90°, by angle)
two_theta  Rel. int.
28.13  50
29.39  46
30.46  67
31.65  56
31.89  50
32.14  50
35.28  100
37.49  98
45.70  57
46.06  48